(1)
This entry pairs a crystal structure of Ce2AlBIr6 with its calculated powder XRD pattern. Radiation: Cu Ka. Structure: a crystal structure in Alexandria, relaxed with GGA-PBE.

Cell and atoms:
Cell lengths 7.2379, 7.2379, 7.2379 Å; angles 45.35, 45.35, 45.35 degrees
Fractional positions:
Ce  0.2157  0.2157  0.2157
Ce  0.7843  0.7843  0.7843
Al  0.5000  0.5000  0.5000
B  0.0000  0.0000  0.0000
Ir  0.2374  0.2374  0.7198
Ir  0.2374  0.7198  0.2374
Ir  0.2802  0.7626  0.7626
Ir  0.7198  0.2374  0.2374
Ir  0.7626  0.2802  0.7626
Ir  0.7626  0.7626  0.2802

Peak list (10 most intense, 10° ≤ 2θ ≤ 80°, by intensity)
2θ 38.4, intensity 100
2θ 41.7, intensity 77
2θ 27.5, intensity 38
2θ 29.5, intensity 27
2θ 67.1, intensity 23
2θ 37.3, intensity 18
2θ 35.0, intensity 15
2θ 53.7, intensity 14
2θ 74.0, intensity 14
2θ 60.7, intensity 13

(2)
This entry pairs a crystal structure of CeAlB2O6 with its calculated powder XRD pattern. Radiation: Cu Ka. Structure: a crystal structure in Alexandria, relaxed with GGA-PBE.

Cell and atoms:
Cell lengths 5.9859, 5.9859, 5.9859 Å; angles 47.42, 47.42, 47.42 degrees
Fractional positions:
Ce  0.0000  0.0000  0.0000
Al  0.5000  0.5000  0.5000
B  0.2348  0.2348  0.2348
B  0.7652  0.7652  0.7652
O  0.0736  0.7033  0.5078
O  0.2967  0.4922  0.9264
O  0.4922  0.9264  0.2967
O  0.5078  0.0736  0.7033
O  0.7033  0.5078  0.0736
O  0.9264  0.2967  0.4922

Peak list (10 most intense, 10° ≤ 2θ ≤ 80°, by intensity)
2θ 31.1, intensity 100
2θ 24.1, intensity 80
2θ 22.0, intensity 55
2θ 51.3, intensity 42
2θ 41.2, intensity 39
2θ 35.5, intensity 33
2θ 37.4, intensity 29
2θ 45.0, intensity 27
2θ 16.7, intensity 23
2θ 43.8, intensity 22

(3)
This entry pairs a crystal structure of Ce3AlB2Pt9 with its calculated powder XRD pattern. Radiation: Cu Ka. Structure: a crystal structure in Alexandria, relaxed with GGA-PBE.

Cell and atoms:
Cell lengths 5.7743, 5.7743, 9.3495 Å; angles 90.00, 90.00, 120.00 degrees
Fractional positions:
Ce  0.0000  0.0000  0.0000
Ce  0.3333  0.6667  0.6110
Ce  0.6667  0.3333  0.3890
Al  0.0000  0.0000  0.5000
B  0.3333  0.6667  0.1501
B  0.6667  0.3333  0.8499
Pt  0.0000  0.5000  0.0000
Pt  0.1654  0.3307  0.2909
Pt  0.1654  0.8346  0.2909
Pt  0.3307  0.1654  0.7091
Pt  0.5000  0.0000  0.0000
Pt  0.5000  0.5000  0.0000
Pt  0.6693  0.8346  0.2909
Pt  0.8346  0.1654  0.7091
Pt  0.8346  0.6693  0.7091

Peak list (10 most intense, 10° ≤ 2θ ≤ 80°, by intensity)
2θ 37.2, intensity 100
2θ 40.9, intensity 75
2θ 28.6, intensity 41
2θ 64.6, intensity 23
2θ 72.1, intensity 18
2θ 53.7, intensity 16
2θ 62.0, intensity 14
2θ 76.9, intensity 12
2θ 33.9, intensity 12
2θ 79.3, intensity 11

(4)
This entry pairs a crystal structure of Al2CoB10 with its calculated powder XRD pattern. Radiation: Cu Ka. Structure: a crystal structure in Alexandria, relaxed with GGA-PBE.

Cell and atoms:
Cell lengths 5.5837, 11.3243, 4.1245 Å; angles 90.00, 90.00, 90.00 degrees
Fractional positions:
Al  0.1850  0.0794  0.0000
Al  0.3150  0.5794  0.0000
Al  0.6850  0.4206  0.0000
Al  0.8150  0.9206  0.0000
Co  0.0000  0.0000  0.5000
Co  0.5000  0.5000  0.5000
B  0.0142  0.8130  0.5000
B  0.1227  0.4560  0.5000
B  0.1748  0.3010  0.5000
B  0.1967  0.8851  0.2032
B  0.1967  0.8851  0.7968
B  0.3033  0.3851  0.2032
B  0.3033  0.3851  0.7968
B  0.3252  0.8010  0.5000
B  0.3773  0.9560  0.5000
B  0.4858  0.3130  0.5000
B  0.5142  0.6870  0.5000
B  0.6227  0.0440  0.5000
B  0.6748  0.1990  0.5000
B  0.6967  0.6149  0.2032
B  0.6967  0.6149  0.7968
B  0.8033  0.1149  0.2032
B  0.8033  0.1149  0.7968
B  0.8252  0.6990  0.5000
B  0.8773  0.5440  0.5000
B  0.9858  0.1870  0.5000

Peak list (10 most intense, 10° ≤ 2θ ≤ 80°, by intensity)
2θ 17.7, intensity 100
2θ 15.7, intensity 70
2θ 39.0, intensity 24
2θ 54.7, intensity 23
2θ 38.6, intensity 21
2θ 42.2, intensity 19
2θ 31.2, intensity 17
2θ 48.7, intensity 14
2θ 21.5, intensity 13
2θ 53.4, intensity 13

(5)
This entry pairs a crystal structure of AlCoB4 with its calculated powder XRD pattern. Radiation: Cu Ka. Structure: a crystal structure in Alexandria, relaxed with GGA-PBE.

Cell and atoms:
Cell lengths 5.9156, 10.6237, 3.1532 Å; angles 90.00, 90.00, 90.00 degrees
Fractional positions:
Al  0.0990  0.1456  0.0000
Al  0.4010  0.6456  0.0000
Al  0.5990  0.3544  0.0000
Al  0.9010  0.8544  0.0000
Co  0.1532  0.4090  0.0000
Co  0.3468  0.9090  0.0000
Co  0.6532  0.0910  0.0000
Co  0.8468  0.5910  0.0000
B  0.0170  0.2957  0.5000
B  0.1082  0.5593  0.5000
B  0.1393  0.9819  0.5000
B  0.1925  0.8133  0.5000
B  0.3075  0.3133  0.5000
B  0.3607  0.4819  0.5000
B  0.3918  0.0593  0.5000
B  0.4830  0.7957  0.5000
B  0.5170  0.2043  0.5000
B  0.6082  0.9407  0.5000
B  0.6393  0.5181  0.5000
B  0.6925  0.6867  0.5000
B  0.8075  0.1867  0.5000
B  0.8607  0.0181  0.5000
B  0.8918  0.4407  0.5000
B  0.9830  0.7043  0.5000

Peak list (10 most intense, 10° ≤ 2θ ≤ 80°, by intensity)
2θ 49.5, intensity 100
2θ 22.5, intensity 99
2θ 42.8, intensity 94
2θ 44.6, intensity 67
2θ 31.4, intensity 66
2θ 28.3, intensity 65
2θ 47.3, intensity 63
2θ 39.7, intensity 60
2θ 17.2, intensity 51
2θ 33.7, intensity 39

(6)
This entry pairs a crystal structure of Al2GaCo5B2 with its calculated powder XRD pattern. Radiation: Cu Ka. Structure: a crystal structure in Alexandria, relaxed with GGA-PBE.

Cell and atoms:
Cell lengths 8.5345, 8.5345, 2.8284 Å; angles 90.00, 90.00, 90.00 degrees
Fractional positions:
Al  0.1750  0.3250  0.0000
Al  0.3250  0.8250  0.0000
Al  0.6750  0.1750  0.0000
Al  0.8250  0.6750  0.0000
Ga  0.0000  0.0000  0.0000
Ga  0.5000  0.5000  0.0000
Co  0.0000  0.5000  0.5000
Co  0.0722  0.7822  0.5000
Co  0.2178  0.0722  0.5000
Co  0.2822  0.5722  0.5000
Co  0.4278  0.2822  0.5000
Co  0.5000  0.0000  0.5000
Co  0.5722  0.7178  0.5000
Co  0.7178  0.4278  0.5000
Co  0.7822  0.9278  0.5000
Co  0.9278  0.2178  0.5000
B  0.1236  0.6236  0.0000
B  0.3764  0.1236  0.0000
B  0.6236  0.8764  0.0000
B  0.8764  0.3764  0.0000

Peak list (10 most intense, 10° ≤ 2θ ≤ 80°, by intensity)
2θ 46.5, intensity 100
2θ 43.7, intensity 49
2θ 47.7, intensity 46
2θ 43.9, intensity 34
2θ 39.7, intensity 33
2θ 50.3, intensity 32
2θ 38.0, intensity 22
2θ 31.6, intensity 21
2θ 20.8, intensity 18
2θ 42.4, intensity 17